Calculated powder diffraction line list of Pr3Tm4Al4 for Cu Kα X-rays, from a DFT-relaxed cell (PBE, Alexandria).
Lines closer than 0.1° are merged.

Crystal structure
```
data_Pr3Tm4Al4
_space_group_name_H-M_alt 'P 1'
_space_group_IT_number 1
_space_group_name_Hall 'P 1'
_cell_length_a 9.4098
_cell_length_b 9.4098
_cell_length_c 9.4098
_cell_angle_alpha 148.63
_cell_angle_beta 134.58
_cell_angle_gamma 56.24
loop_
_atom_site_label
_atom_site_fract_x
_atom_site_fract_y
_atom_site_fract_z
Pr1 0.0000 0.0000 0.0000
Pr2 0.3905 0.8905 0.5000
Pr3 0.6095 0.1095 0.5000
Tm1 0.0447 0.3226 0.7221
Tm2 0.3995 0.6774 0.7221
Tm3 0.6006 0.3226 0.2779
Tm4 0.9553 0.6774 0.2779
Al1 0.1891 0.1891 0.0000
Al2 0.3140 0.5000 0.8140
Al3 0.6860 0.5000 0.1860
Al4 0.8109 0.8109 0.0000
```

Peak list (10 most intense, 2θ = 15–90°, most intense first)
2θ/deg, d (Å), I/Imax
30.72, 2.911, 100
23.76, 3.745, 61
34.39, 2.608, 59
35.28, 2.544, 52
30.40, 2.941, 44
32.20, 2.780, 37
26.79, 3.328, 37
29.59, 3.019, 32
32.36, 2.766, 22
44.85, 2.021, 19



Calculated powder diffraction line list of Cs5TlSb2 for Cu Kα X-rays, from a DFT-relaxed cell (PBE, Alexandria).
Lines closer than 0.1° are merged.

Crystal structure
```
data_Cs5TlSb2
_space_group_name_H-M_alt 'P 1'
_space_group_IT_number 1
_space_group_name_Hall 'P 1'
_cell_length_a 12.2346
_cell_length_b 12.2346
_cell_length_c 12.2346
_cell_angle_alpha 31.02
_cell_angle_beta 31.02
_cell_angle_gamma 31.02
loop_
_atom_site_label
_atom_site_fract_x
_atom_site_fract_y
_atom_site_fract_z
Cs1 0.0000 0.0000 0.0000
Cs2 0.1226 0.1226 0.1226
Cs3 0.2827 0.2827 0.2827
Cs4 0.7173 0.7173 0.7173
Cs5 0.8774 0.8774 0.8774
Tl1 0.5000 0.5000 0.5000
Sb1 0.4069 0.4069 0.4069
Sb2 0.5931 0.5931 0.5931
```

Peak list (10 most intense, 2θ = 15–90°, most intense first)
2θ/deg, d (Å), I/Imax
27.26, 3.272, 100
30.07, 2.972, 33
25.77, 3.457, 30
23.77, 3.744, 29
48.17, 1.889, 21
49.96, 1.826, 16
41.03, 2.200, 14
56.23, 1.636, 13
47.27, 1.923, 12
20.18, 4.400, 11



Calculated powder diffraction line list of Tb4BiSe3 for Cu Kα X-rays, from a DFT-relaxed cell (PBE, Alexandria).
Lines closer than 0.1° are merged.

Crystal structure
```
data_Tb4BiSe3
_space_group_name_H-M_alt 'P 1'
_space_group_IT_number 1
_space_group_name_Hall 'P 1'
_cell_length_a 4.2059
_cell_length_b 5.9482
_cell_length_c 8.4083
_cell_angle_alpha 90.00
_cell_angle_beta 90.00
_cell_angle_gamma 90.00
loop_
_atom_site_label
_atom_site_fract_x
_atom_site_fract_y
_atom_site_fract_z
Tb1 0.0000 0.0000 0.0000
Tb2 0.0000 0.0000 0.5000
Tb3 0.5000 0.5000 0.2302
Tb4 0.5000 0.5000 0.7698
Bi1 0.0000 0.5000 0.5000
Se1 0.0000 0.5000 0.0000
Se2 0.5000 0.0000 0.2477
Se3 0.5000 0.0000 0.7523
```

Peak list (10 most intense, 2θ = 15–90°, most intense first)
2θ/deg, d (Å), I/Imax
30.05, 2.974, 100
43.02, 2.103, 75
70.86, 1.330, 33
53.36, 1.717, 26
78.84, 1.214, 24
62.46, 1.487, 12
25.95, 3.434, 5
28.07, 3.179, 4
23.65, 3.762, 3
50.92, 1.793, 2



Calculated powder diffraction line list of La4As2Se for Cu Kα X-rays, from a DFT-relaxed cell (PBE, Alexandria).
Lines closer than 0.1° are merged.

Crystal structure
```
data_La4As2Se
_space_group_name_H-M_alt 'P 1'
_space_group_IT_number 1
_space_group_name_Hall 'P 1'
_cell_length_a 8.2656
_cell_length_b 8.2656
_cell_length_c 8.2656
_cell_angle_alpha 109.22
_cell_angle_beta 109.22
_cell_angle_gamma 109.97
loop_
_atom_site_label
_atom_site_fract_x
_atom_site_fract_y
_atom_site_fract_z
La1 0.1979 0.2566 0.5587
La2 0.1979 0.6393 0.9413
La3 0.2566 0.1979 0.0587
La4 0.3607 0.8021 0.5587
La5 0.6393 0.1979 0.4413
La6 0.7434 0.8021 0.9413
La7 0.8021 0.3607 0.0587
La8 0.8021 0.7434 0.4413
As1 0.0000 0.5000 0.5000
As2 0.5000 0.0000 0.0000
As3 0.5000 0.5000 0.0000
As4 0.5000 0.5000 0.5000
Se1 0.1250 0.8750 0.2500
Se2 0.8750 0.1250 0.7500
```

Peak list (10 most intense, 2θ = 15–90°, most intense first)
2θ/deg, d (Å), I/Imax
29.76, 3.002, 100
26.33, 3.385, 91
35.11, 2.556, 88
44.52, 2.035, 67
29.53, 3.025, 52
37.58, 2.393, 44
26.46, 3.369, 38
48.78, 1.867, 32
56.16, 1.638, 25
69.65, 1.350, 24



> Number 4 is which compound?

La4As2Se